Starting from a GGA-PBE-relaxed structure, the X-ray diffraction stick pattern of HfTc2Rh was computed for Cu Ka.
Lines closer than 0.1° are merged.

Atomic structure:
```
HfTc2Rh
1.0
0.0000 3.1737 3.1737
3.1737 0.0000 3.1737
3.1737 3.1737 0.0000
Hf Tc Rh
1 2 1
direct
0.0000 0.0000 0.0000
0.2500 0.2500 0.2500
0.7500 0.7500 0.7500
0.5000 0.5000 0.5000
```

Principal peaks in the range 10 to 80 degrees two-theta, low angle first:
2θ 24.29, I 5; 2θ 28.12, I 3; 2θ 40.18, I 100; 2θ 47.51, I 3; 2θ 58.13, I 17; 2θ 73.02, I 34